This entry pairs a crystal structure of PmPr5Er3 with its computed powder XRD pattern. Radiation: Cu Kα, 1.54184 Å. Structure: a DFT-relaxed cell (PBE, Alexandria).
Neutral-atom scattering factors, no anomalous dispersion.

Main lines, by angle (15 to 90 degrees two-theta):
two_theta, I_rel
28.09, 63
29.95, 53
30.56, 100
30.71, 89
30.83, 22
32.06, 79
34.90, 35
36.67, 18
53.54, 23
56.14, 24

Cell and atoms:
```
PmPr5Er3
1.0
8.7894 -3.1727 0.0000
8.7894 3.1727 0.0000
-0.6559 0.0000 11.4122
Pm Pr Er
2 10 6
Cartesian
8.2975 2.4272 8.5592 Pm
8.6254 -2.4272 2.8531 Pm
5.5373 1.8071 2.9452 Pr
5.3255 1.4075 10.6144 Pr
11.7135 1.8071 2.7609 Pr
8.6254 0.5706 2.8531 Pr
11.2694 1.4075 6.5039 Pr
5.6534 -1.4075 4.9083 Pr
8.2975 -0.5706 8.5592 Pr
5.2094 -1.8071 8.6513 Pr
11.5973 -1.4075 0.7978 Pr
11.3856 -1.8071 8.4670 Pr
0.0000 0.0000 0.0000 Er
-0.3279 0.0000 5.7061 Er
5.5291 1.5660 6.6634 Er
11.0658 1.5660 10.4549 Er
5.8570 -1.5660 0.9573 Er
11.3937 -1.5660 4.7488 Er
```